No. 1
Structure and computed PXRD pattern of K2CaHf3O8 (a crystal structure in Alexandria, relaxed with PBE; Cu Kα, 1.54184 Å).
Peak positions follow from Bragg's law for the DFT cell and can differ from measured ones.

Top 6 peaks for 10° ≤ 2θ ≤ 90°, low angle first:
13.58°, d = 6.520 Å, I = 1000
27.36°, d = 3.260 Å, I = 199
31.87°, d = 2.808 Å, I = 347
32.86°, d = 2.725 Å, I = 260
36.61°, d = 2.454 Å, I = 379
45.56°, d = 1.991 Å, I = 207

Cell and atoms:
Cell lengths 7.5382, 7.5382, 7.5382 Å; angles 51.53, 51.53, 51.53 degrees
Sites, in units of the cell vectors:
K 0.0000 0.0000 0.0000
K 0.3538 0.3538 0.3538
Ca 0.8327 0.8327 0.8327
Hf 0.3555 0.3555 0.8511
Hf 0.3555 0.8511 0.3555
Hf 0.8511 0.3555 0.3555
O 0.0801 0.0801 0.5529
O 0.0801 0.5529 0.0801
O 0.1331 0.1331 0.1331
O 0.1707 0.6111 0.6111
O 0.5529 0.0801 0.0801
O 0.5746 0.5746 0.5746
O 0.6111 0.1707 0.6111
O 0.6111 0.6111 0.1707

---

No. 2
Structure and computed PXRD pattern of Tm5In3Sn (a crystal structure in Alexandria, relaxed with PBE; Cu Kα, 1.54184 Å).
Peak positions follow from Bragg's law for the DFT cell and can differ from measured ones.

Top 6 peaks for 10° ≤ 2θ ≤ 90°, low angle first:
32.64°, d = 2.744 Å, I = 241
33.62°, d = 2.665 Å, I = 1000
48.28°, d = 1.885 Å, I = 157
51.77°, d = 1.766 Å, I = 119
60.10°, d = 1.539 Å, I = 144
67.31°, d = 1.391 Å, I = 126

Cell and atoms:
Cell lengths 9.2399, 9.2399, 6.5210 Å; angles 90.00, 90.00, 120.00 degrees
Sites, in units of the cell vectors:
Tm 0.0000 0.2802 0.2500
Tm 0.0000 0.7198 0.7500
Tm 0.2802 0.0000 0.2500
Tm 0.2802 0.2802 0.7500
Tm 0.3333 0.6667 0.0000
Tm 0.3333 0.6667 0.5000
Tm 0.6667 0.3333 0.0000
Tm 0.6667 0.3333 0.5000
Tm 0.7198 0.0000 0.7500
Tm 0.7198 0.7198 0.2500
In 0.0000 0.3827 0.7500
In 0.0000 0.6173 0.2500
In 0.3827 0.0000 0.7500
In 0.3827 0.3827 0.2500
In 0.6173 0.0000 0.2500
In 0.6173 0.6173 0.7500
Sn 0.0000 0.0000 0.0000
Sn 0.0000 0.0000 0.5000

---

No. 3
Structure and computed PXRD pattern of Li4IrBr (a crystal structure in Alexandria, relaxed with PBE; Cu Kα, 1.54184 Å).
Peak positions follow from Bragg's law for the DFT cell and can differ from measured ones.

Top 6 peaks for 10° ≤ 2θ ≤ 90°, low angle first:
21.66°, d = 4.102 Å, I = 1000
35.74°, d = 2.512 Å, I = 805
42.18°, d = 2.142 Å, I = 645
56.45°, d = 1.630 Å, I = 228
64.22°, d = 1.450 Å, I = 294
68.64°, d = 1.367 Å, I = 205

Cell and atoms:
Cell lengths 5.0240, 5.0240, 5.0240 Å; angles 60.00, 60.00, 60.00 degrees
Sites, in units of the cell vectors:
Li 0.3794 0.3794 0.3794
Li 0.3794 0.3794 0.8619
Li 0.3794 0.8619 0.3794
Li 0.8619 0.3794 0.3794
Ir 0.7500 0.7500 0.7500
Br 0.0000 0.0000 0.0000

---

No. 4
Structure and computed PXRD pattern of V6Tc5W (a crystal structure in Alexandria, relaxed with PBE; Cu Kα, 1.54184 Å).
Peak positions follow from Bragg's law for the DFT cell and can differ from measured ones.

Top 6 peaks for 10° ≤ 2θ ≤ 90°, low angle first:
29.42°, d = 3.036 Å, I = 240
42.07°, d = 2.148 Å, I = 1000
42.17°, d = 2.143 Å, I = 199
61.08°, d = 1.517 Å, I = 127
76.87°, d = 1.240 Å, I = 252
77.02°, d = 1.238 Å, I = 125

Cell and atoms:
Cell lengths 7.4408, 7.4408, 7.4408 Å; angles 146.52, 131.78, 59.98 degrees
Sites, in units of the cell vectors:
V 0.0818 0.3327 0.7491
V 0.2479 0.0000 0.2479
V 0.4164 0.6673 0.7491
V 0.5836 0.3327 0.2509
V 0.7521 0.0000 0.7521
V 0.9182 0.6673 0.2509
Tc 0.0000 0.5000 0.5000
Tc 0.1670 0.1670 0.0000
Tc 0.3326 0.8326 0.5000
Tc 0.6674 0.1674 0.5000
Tc 0.8330 0.8330 0.0000
W 0.5000 0.5000 0.0000

---

No. 5
Structure and computed PXRD pattern of RbMgV (a crystal structure in Alexandria, relaxed with PBE; Cu Kα, 1.54184 Å).
Peak positions follow from Bragg's law for the DFT cell and can differ from measured ones.

Top 6 peaks for 10° ≤ 2θ ≤ 90°, low angle first:
20.76°, d = 4.278 Å, I = 559
22.27°, d = 3.992 Å, I = 571
22.93°, d = 3.879 Å, I = 728
24.04°, d = 3.702 Å, I = 729
24.17°, d = 3.682 Å, I = 349
36.11°, d = 2.488 Å, I = 1000

Cell and atoms:
Cell lengths 4.9749, 4.9754, 12.3015 Å; angles 78.40, 89.64, 60.01 degrees
Sites, in units of the cell vectors:
Rb 0.0000 0.0000 0.0000
Rb 0.1911 0.5893 0.6280
Mg 0.0939 0.7948 0.3135
Mg 0.4268 0.1295 0.3124
V 0.7370 0.5118 0.2364
V 0.7847 0.4113 0.3908

---

No. 6
Structure and computed PXRD pattern of Ba4Pa (a crystal structure in Alexandria, relaxed with PBE; Cu Kα, 1.54184 Å).
Peak positions follow from Bragg's law for the DFT cell and can differ from measured ones.

Top 6 peaks for 10° ≤ 2θ ≤ 90°, low angle first:
13.44°, d = 6.588 Å, I = 443
19.05°, d = 4.659 Å, I = 409
23.39°, d = 3.804 Å, I = 315
27.07°, d = 3.294 Å, I = 1000
38.66°, d = 2.329 Å, I = 777
63.11°, d = 1.473 Å, I = 372

Cell and atoms:
Cell lengths 6.5882, 6.5882, 6.5882 Å; angles 90.00, 90.00, 90.00 degrees
Sites, in units of the cell vectors:
Ba 0.0000 0.0000 0.0000
Ba 0.0000 0.5000 0.5000
Ba 0.5000 0.0000 0.5000
Ba 0.5000 0.5000 0.0000
Pa 0.5000 0.5000 0.5000